Starting from a crystal structure in Alexandria, relaxed with PBE, the XRD peak list of Tb3CeTm4 was simulated for λ = 1.5418 Å (Cu Kα).
Intensities are scaled so that the largest is 100.

The 10 most intense peaks (15 to 90 degrees two-theta), by angle:
2θ 31.16, 2.870 Å, I = 100, hkl 1 1 1
2θ 31.25, 2.862 Å, I = 33, hkl 0 0 4
2θ 36.16, 2.484 Å, I = 67, hkl 2 0 2
2θ 52.03, 1.758 Å, I = 32, hkl 0 2 0
2θ 52.14, 1.754 Å, I = 16, hkl 1 1 5
2θ 61.92, 1.499 Å, I = 42, hkl 0 2 4
2θ 62.04, 1.496 Å, I = 14, hkl 1 1 -7
2θ 64.98, 1.435 Å, I = 12, hkl 2 2 2
2θ 85.02, 1.141 Å, I = 12, hkl 1 3 1
2θ 87.79, 1.112 Å, I = 11, hkl 4 2 -4

Atomic structure:
```
8
Lattice="6.093 0.000 0.000 0.000 3.516 0.000 -2.042 0.000 11.449" Properties=species:S:1:pos:R:3 pbc="T T T"
Tb 0.000 0.000 0.000
Tb -1.021 1.758 5.725
Tb 2.026 0.000 5.725
Ce 3.047 1.758 0.000
Tm 0.009 0.000 8.606
Tm 1.031 1.758 2.859
Tm 4.042 0.000 2.844
Tm 3.021 1.758 8.590
```